Entry 1:
For Ho4ErCd2, a cell relaxed with PBE gives the calculated PXRD pattern in this record (copper Kα).
No peak broadening, texture or thermal motion is included.

Crystal structure
Unit cell a=5.0916 b=5.0916 c=30.1885 alpha=90.00 beta=90.00 gamma=120.00
Space group R-3m (No. 166, hexagonal axes)
One atom of each set of equivalent atoms:
1 Ho 0.0000 0.0000 0.1076 [6 per cell]
2 Ho 0.0000 0.0000 0.2966 [6 per cell]
3 Er 0.0000 0.0000 0.5000 [3 per cell]
4 Cd 0.0000 0.0000 0.3999 [6 per cell]

Most intense lines, 5 to 70 degrees two-theta, sorted by position:
20.35 deg, I = 14, hkl 1 0 1; 25.01 deg, I = 73, hkl 0 1 5; 35.25 deg, I = 100, hkl 1 1 0; 36.06 deg, I = 86, hkl 1 0 10; 43.71 deg, I = 17, hkl 2 0 5; 51.32 deg, I = 31, hkl 0 2 10; 57.35 deg, I = 15, hkl 1 2 5; 63.27 deg, I = 18, hkl 3 0 0; 63.79 deg, I = 32, hkl 2 1 10; 65.34 deg, I = 12, hkl 0 1 20

---

Entry 2:
For HoErCd4, a cell relaxed with PBE gives the calculated PXRD pattern in this record (copper Kα).
No peak broadening, texture or thermal motion is included.

Crystal structure
Unit cell a=3.415 b=4.966 c=8.573 alpha=90.00 beta=90.00 gamma=90.00
Space group Pmmm (No. 47)
One atom of each set of equivalent atoms:
1 Ho 0.000 0.000 0.000 [1 per cell]
2 Er 0.000 0.500 0.500 [1 per cell]
3 Cd 0.500 0.000 0.333 [2 per cell]
4 Cd 0.500 0.500 0.167 [2 per cell]

Most intense lines, 5 to 70 degrees two-theta, sorted by position:
20.69 deg, I = 5, hkl 0 1 1; 33.53 deg, I = 100, hkl 1 0 2; 36.24 deg, I = 81, hkl 0 2 0; 50.20 deg, I = 32, hkl 1 2 2; 53.68 deg, I = 9, hkl 2 0 0; 63.38 deg, I = 10, hkl 1 3 1; 63.51 deg, I = 21, hkl 1 1 5; 65.13 deg, I = 9, hkl 0 3 3; 65.31 deg, I = 5, hkl 0 0 6; 66.49 deg, I = 26, hkl 2 2 0

---

Entry 3:
For Ho3Er6Cd, a cell relaxed with PBE gives the calculated PXRD pattern in this record (copper Kα).
No peak broadening, texture or thermal motion is included.

Crystal structure
Unit cell a=10.222 b=19.174 c=6.172 alpha=90.00 beta=90.00 gamma=90.00
Space group Cmc2_1 (No. 36)
One atom of each set of equivalent atoms:
1 Ho 0.000 0.105 0.000 [4 per cell]
2 Ho 0.170 0.375 0.680 [8 per cell]
3 Er 0.000 0.209 0.426 [4 per cell]
4 Er 0.000 0.445 0.199 [4 per cell]
5 Er 0.171 0.038 0.533 [8 per cell]
6 Er 0.234 0.304 0.206 [8 per cell]
7 Cd 0.000 0.260 0.925 [4 per cell]

Most intense lines, 5 to 70 degrees two-theta, sorted by position:
29.36 deg, I = 59, hkl 2 4 1; 29.71 deg, I = 60, hkl 3 3 0; 30.62 deg, I = 46, hkl 1 1 2; 31.53 deg, I = 100, hkl 0 6 1; 33.13 deg, I = 81, hkl 3 3 1; 33.93 deg, I = 29, hkl 2 0 2; 35.24 deg, I = 58, hkl 2 2 2; 36.21 deg, I = 20, hkl 2 6 1; 36.97 deg, I = 20, hkl 1 7 1; 59.55 deg, I = 24, hkl 2 10 2

---

Entry 4:
For Ho2ErCd6, a cell relaxed with PBE gives the calculated PXRD pattern in this record (copper Kα).
No peak broadening, texture or thermal motion is included.

Crystal structure
Unit cell a=8.5909 b=8.5909 c=3.4111 alpha=90.00 beta=90.00 gamma=120.00
Space group P6/mmm (No. 191)
One atom of each set of equivalent atoms:
1 Ho 0.3333 0.6667 0.0000 [2 per cell]
2 Er 0.0000 0.0000 0.0000 [1 per cell]
3 Cd 0.0000 0.3330 0.5000 [6 per cell]

Most intense lines, 5 to 70 degrees two-theta, sorted by position:
20.68 deg, I = 5, hkl 1 1 0; 26.12 deg, I = 2, hkl 0 0 1; 33.55 deg, I = 100, hkl 1 1 1; 36.22 deg, I = 81, hkl 3 0 0; 45.20 deg, I = 2, hkl 3 0 1; 50.20 deg, I = 32, hkl 2 2 1; 53.74 deg, I = 8, hkl 0 0 2; 63.46 deg, I = 31, hkl 4 1 1; 65.15 deg, I = 14, hkl 3 3 0; 66.54 deg, I = 26, hkl 3 0 2

---

Entry 5:
For Ho3Er4Cd2, a cell relaxed with PBE gives the calculated PXRD pattern in this record (copper Kα).
No peak broadening, texture or thermal motion is included.

Crystal structure
Unit cell a=14.509 b=4.830 c=7.714 alpha=90.00 beta=108.59 gamma=90.00
Space group C2/m (No. 12)
One atom of each set of equivalent atoms:
1 Ho 0.000 0.000 0.000 [2 per cell]
2 Ho 0.114 0.000 0.672 [4 per cell]
3 Er 0.056 0.500 0.334 [4 per cell]
4 Er 0.221 0.000 0.322 [4 per cell]
5 Cd 0.166 0.500 0.999 [4 per cell]

Most intense lines, 5 to 70 degrees two-theta, sorted by position:
31.92 deg, I = 100, hkl 3 1 -2; 32.04 deg, I = 99, hkl 3 1 1; 36.88 deg, I = 34, hkl 0 0 3; 37.20 deg, I = 66, hkl 0 2 0; 53.41 deg, I = 23, hkl 0 2 3; 53.60 deg, I = 35, hkl 6 2 -1; 63.27 deg, I = 14, hkl 3 1 -5; 63.49 deg, I = 14, hkl 3 1 4; 63.68 deg, I = 14, hkl 9 1 -3; 63.87 deg, I = 41, hkl 3 3 1

---

Entry 6:
For HoEr2Cd4, a cell relaxed with PBE gives the calculated PXRD pattern in this record (copper Kα).
No peak broadening, texture or thermal motion is included.

Crystal structure
Unit cell a=5.293 b=5.293 c=13.713 alpha=90.00 beta=90.00 gamma=90.00
Space group I4/mmm (No. 139)
One atom of each set of equivalent atoms:
1 Ho 0.000 0.000 0.000 [2 per cell]
2 Er 0.000 0.000 0.258 [4 per cell]
3 Cd 0.000 0.500 0.116 [8 per cell]

Most intense lines, 5 to 70 degrees two-theta, sorted by position:
17.96 deg, I = 13, hkl 1 0 1; 25.75 deg, I = 12, hkl 1 0 3; 27.14 deg, I = 11, hkl 1 1 2; 33.87 deg, I = 59, hkl 2 0 0; 35.51 deg, I = 100, hkl 1 1 4; 43.03 deg, I = 6, hkl 2 1 3; 48.66 deg, I = 21, hkl 2 2 0; 53.46 deg, I = 7, hkl 0 0 8; 61.67 deg, I = 39, hkl 3 1 4; 64.80 deg, I = 15, hkl 2 0 8